For ZnGa6Pb5S15, a GGA-PBE-relaxed structure gives the calculated powder diffraction line list in this record (Cu Kα (weighted mean of Kα1 and Kα2)).
Lines closer than 0.1° are merged.

Largest 8 diffraction maxima, low angle first, 2θ = 5–70°:
4.080 Å, I = 75, (4 1 1)
3.448 Å, I = 100, (4 3 1)
3.159 Å, I = 72, (0 0 2)
3.039 Å, I = 40, (0 6 0)
2.957 Å, I = 39, (1 2 2)
2.797 Å, I = 32, (8 0 0)
2.355 Å, I = 37, (4 4 2)
2.212 Å, I = 30, (4 7 1)

Cell and atoms:
```
data_ZnGa6Pb5S15
_cell_length_a 22.373
_cell_length_b 18.237
_cell_length_c 6.313
_cell_angle_alpha 90.00
_cell_angle_beta 90.00
_cell_angle_gamma 90.00
_space_group_name_H-M_alt 'A m a 2'
_space_group_IT_number 40
_space_group_name_Hall 'A 2 -2a'
loop_
_atom_site_label
_atom_site_type_symbol
_atom_site_fract_x
_atom_site_fract_y
_atom_site_fract_z
Zn1 Zn 0.000 0.000 0.000
Ga1 Ga 0.028 0.195 0.938
Ga2 Ga 0.163 0.467 0.552
Ga3 Ga 0.250 0.306 0.415
Ga4 Ga 0.250 0.468 0.075
Pb1 Pb 0.109 0.144 0.421
Pb2 Pb 0.112 0.363 0.034
Pb3 Pb 0.250 0.149 0.870
S1 S 0.001 0.403 0.254
S2 S 0.009 0.308 0.783
S3 S 0.083 0.005 0.241
S4 S 0.128 0.205 0.014
S5 S 0.158 0.344 0.534
S6 S 0.168 0.023 0.726
S7 S 0.250 0.010 0.225
S8 S 0.250 0.182 0.442
S9 S 0.250 0.343 0.058
```